Diffraction record for PrGeH2O4. The X-ray powder pattern is calculated, not measured: it uses a structure optimized by DFT (GGA-PBE) and CuKα.

Peak list (10 most intense, 5° ≤ 2θ ≤ 70°, low angle first)
d [Å]	2θ (°)	intensity
5.052	17.55	21
3.685	24.15	100
2.895	30.89	45
2.881	31.04	46
2.626	34.14	18
2.586	34.68	16
1.941	46.81	41
1.929	47.12	39
1.843	49.46	13
1.570	58.84	16

Structure:
abc: 6.2946 6.2285 7.3718
angles: 54.36 53.52 72.12
Fractional positions:
1 Pr 0.0000 0.0000 0.0000
2 Pr 0.2500 0.2500 0.2500
3 Ge 0.5294 0.5294 0.4706
4 Ge 0.7794 0.7794 0.7206
5 H 0.1428 0.5789 0.8275
6 H 0.4225 0.7993 0.1072
7 H 0.5789 0.1428 0.4507
8 H 0.7993 0.4225 0.6711
9 O 0.0200 0.8857 0.7252
10 O 0.2376 0.4080 0.8597
11 O 0.3903 0.7553 0.0124
12 O 0.4080 0.2376 0.4947
13 O 0.5248 0.8809 0.2300
14 O 0.7553 0.3903 0.8420
15 O 0.8809 0.5248 0.3643
16 O 0.8857 0.0200 0.3691


Diffraction record for Ag5Pb2C6. The X-ray powder pattern is calculated, not measured: it uses a structure optimized by DFT (GGA-PBE) and CuKα.

Peak list (10 most intense, 5° ≤ 2θ ≤ 70°, low angle first)
d [Å]	2θ (°)	intensity
3.395	26.25	19
2.949	30.31	46
2.827	31.65	100
2.705	33.12	81
2.390	37.63	64
1.795	50.86	28
1.694	54.15	21
1.678	54.69	42
1.651	55.65	20
1.475	63.04	21

Structure:
abc: 5.8981 5.8981 6.7892
angles: 90.00 90.00 120.00
Fractional positions:
1 Ag 0.0000 0.0000 0.2469
2 Ag 0.0000 0.0000 0.7531
3 Ag 0.0000 0.5000 0.0000
4 Ag 0.5000 0.0000 0.0000
5 Ag 0.5000 0.5000 0.0000
6 Pb 0.3333 0.6667 0.5000
7 Pb 0.6667 0.3333 0.5000
8 C 0.0000 0.3538 0.2846
9 C 0.0000 0.6462 0.7154
10 C 0.3538 0.0000 0.2846
11 C 0.3538 0.3538 0.7154
12 C 0.6462 0.0000 0.7154
13 C 0.6462 0.6462 0.2846


Diffraction record for Ho8Cu. The X-ray powder pattern is calculated, not measured: it uses a structure optimized by DFT (GGA-PBE) and CuKα.

Peak list (10 most intense, 5° ≤ 2θ ≤ 70°, low angle first)
d [Å]	2θ (°)	intensity
2.975	30.04	72
2.825	31.67	100
2.659	33.71	57
2.624	34.17	53
2.295	39.25	32
1.804	50.60	21
1.615	57.03	33
1.551	59.62	19
1.542	59.99	21
1.487	62.47	27

Structure:
abc: 9.0894 9.0894 3.6066
angles: 90.00 90.00 120.00
Fractional positions:
1 Ho 0.0000 0.2469 0.0000
2 Ho 0.0000 0.6099 0.5000
3 Ho 0.2469 0.0000 0.0000
4 Ho 0.3333 0.6667 0.0000
5 Ho 0.3901 0.3901 0.5000
6 Ho 0.6099 0.0000 0.5000
7 Ho 0.6667 0.3333 0.0000
8 Ho 0.7531 0.7531 0.0000
9 Cu 0.0000 0.0000 0.5000


Diffraction record for Hf4Zn3Mo2N3. The X-ray powder pattern is calculated, not measured: it uses a structure optimized by DFT (GGA-PBE) and CuKα.

Peak list (10 most intense, 5° ≤ 2θ ≤ 70°, low angle first)
d [Å]	2θ (°)	intensity
6.737	13.14	14
3.368	26.46	9
2.734	32.76	34
2.682	33.41	11
2.339	38.49	100
2.328	38.68	47
2.246	40.16	25
1.740	52.61	7
1.580	58.41	21
1.576	58.56	13

Structure:
abc: 5.4638 5.4638 13.8175
angles: 101.06 101.06 60.17
Fractional positions:
1 Hf 0.0255 0.2014 0.0964
2 Hf 0.1392 0.3042 0.4035
3 Hf 0.2014 0.0255 0.5964
4 Hf 0.3042 0.1392 0.9035
5 Hf 0.6958 0.8608 0.0965
6 Hf 0.7986 0.9745 0.4036
7 Hf 0.8608 0.6958 0.5965
8 Hf 0.9745 0.7986 0.9036
9 Zn 0.1377 0.8623 0.2500
10 Zn 0.3038 0.4172 0.7485
11 Zn 0.4172 0.3038 0.2485
12 Zn 0.5828 0.6962 0.7515
13 Zn 0.6962 0.5828 0.2515
14 Zn 0.8623 0.1377 0.7500
15 Mo 0.3644 0.5247 0.0772
16 Mo 0.4753 0.6356 0.4228
17 Mo 0.5247 0.3644 0.5772
18 Mo 0.6356 0.4753 0.9228
19 N 0.0000 0.5000 0.0000
20 N 0.1439 0.6782 0.5001
21 N 0.3218 0.8561 0.9999
22 N 0.5000 0.0000 0.5000
23 N 0.6782 0.1439 0.0001
24 N 0.8561 0.3218 0.4999


Diffraction record for KRbZn2Sb2. The X-ray powder pattern is calculated, not measured: it uses a structure optimized by DFT (GGA-PBE) and CuKα.

Peak list (10 most intense, 5° ≤ 2θ ≤ 70°, low angle first)
d [Å]	2θ (°)	intensity
5.485	16.16	38
3.730	23.86	14
3.214	27.76	100
2.742	32.65	27
2.290	39.35	50
2.113	42.79	20
1.865	48.83	20
1.758	52.03	42
1.660	55.33	13
1.446	64.43	17

Structure:
abc: 4.5799 4.5799 10.9692
angles: 90.00 90.00 120.00
Fractional positions:
1 K 0.0000 0.0000 0.0000
2 Rb 0.0000 0.0000 0.5000
3 Zn 0.3333 0.6667 0.2434
4 Zn 0.6667 0.3333 0.7566
5 Sb 0.3333 0.6667 0.7564
6 Sb 0.6667 0.3333 0.2436


Diffraction record for NdZnPdPt3. The X-ray powder pattern is calculated, not measured: it uses a structure optimized by DFT (GGA-PBE) and CuKα.

Peak list (10 most intense, 5° ≤ 2θ ≤ 70°, low angle first)
d [Å]	2θ (°)	intensity
4.731	18.76	23
4.312	20.60	19
3.187	28.00	56
2.365	38.04	80
2.307	39.04	100
2.156	41.90	42
2.074	43.64	75
1.593	57.87	48
1.481	62.73	25
1.366	68.73	29

Structure:
abc: 5.4629 5.4629 4.3117
angles: 90.00 90.00 120.00
Fractional positions:
1 Nd 0.0000 0.0000 0.0000
2 Zn 0.6667 0.3333 0.0000
3 Pd 0.3333 0.6667 0.0000
4 Pt 0.5014 0.0028 0.5000
5 Pt 0.5014 0.4986 0.5000
6 Pt 0.9972 0.4986 0.5000


Diffraction record for TmAgTeSe. The X-ray powder pattern is calculated, not measured: it uses a structure optimized by DFT (GGA-PBE) and CuKα.

Peak list (10 most intense, 5° ≤ 2θ ≤ 70°, low angle first)
d [Å]	2θ (°)	intensity
3.291	27.09	38
3.263	27.33	61
3.083	28.97	35
2.736	32.73	34
2.719	32.94	37
2.536	35.40	33
2.520	35.63	58
2.437	36.88	100
2.039	44.43	33
2.009	45.13	26

Structure:
abc: 4.4277 6.8906 6.8953
angles: 90.00 90.69 90.00
Fractional positions:
1 Tm 0.1968 0.0000 0.2753
2 Tm 0.8032 0.5000 0.7247
3 Ag 0.0022 0.4885 0.2500
4 Ag 0.9978 0.9885 0.7500
5 Te 0.3012 0.2895 0.9493
6 Te 0.6988 0.7895 0.0507
7 Se 0.2846 0.6961 0.5467
8 Se 0.7154 0.1961 0.4533


Diffraction record for Hf2CuAu3. The X-ray powder pattern is calculated, not measured: it uses a structure optimized by DFT (GGA-PBE) and CuKα.

Peak list (10 most intense, 5° ≤ 2θ ≤ 70°, low angle first)
d [Å]	2θ (°)	intensity
8.725	10.14	5
3.513	25.35	3
3.259	27.37	4
2.736	32.73	7
2.484	36.16	68
2.240	40.26	100
1.757	52.07	24
1.454	64.03	6
1.428	65.35	2
1.382	67.79	43

Structure:
abc: 3.5131 3.5131 8.7254
angles: 90.00 90.00 90.00
Fractional positions:
1 Hf 0.0000 0.0000 0.0000
2 Hf 0.5000 0.5000 0.4913
3 Cu 0.0000 0.0000 0.3271
4 Au 0.0000 0.0000 0.6534
5 Au 0.5000 0.5000 0.1764
6 Au 0.5000 0.5000 0.8308


Diffraction record for HfTl2Sb. The X-ray powder pattern is calculated, not measured: it uses a structure optimized by DFT (GGA-PBE) and CuKα.

Peak list (8 most intense, 5° ≤ 2θ ≤ 70°, low angle first)
d [Å]	2θ (°)	intensity
4.281	20.75	3
3.708	24.00	1
2.622	34.20	100
2.236	40.34	2
1.854	49.15	18
1.701	53.89	1
1.514	61.24	38
1.427	65.39	1

Structure:
abc: 7.4154 7.4154 7.4154
angles: 90.00 90.00 90.00
Fractional positions:
1 Hf 0.0000 0.0000 0.0000
2 Hf 0.0000 0.5000 0.5000
3 Hf 0.5000 0.0000 0.5000
4 Hf 0.5000 0.5000 0.0000
5 Tl 0.0000 0.0000 0.5000
6 Tl 0.0000 0.5000 0.0000
7 Tl 0.2500 0.2500 0.2500
8 Tl 0.2500 0.7500 0.7500
9 Tl 0.5000 0.0000 0.0000
10 Tl 0.5000 0.5000 0.5000
11 Tl 0.7500 0.2500 0.7500
12 Tl 0.7500 0.7500 0.2500
13 Sb 0.2500 0.2500 0.7500
14 Sb 0.2500 0.7500 0.2500
15 Sb 0.7500 0.2500 0.2500
16 Sb 0.7500 0.7500 0.7500


Diffraction record for Na2CdMoSe4. The X-ray powder pattern is calculated, not measured: it uses a structure optimized by DFT (GGA-PBE) and CuKα.

Peak list (10 most intense, 5° ≤ 2θ ≤ 70°, low angle first)
d [Å]	2θ (°)	intensity
5.668	15.63	50
3.516	25.33	100
2.907	30.76	11
2.394	37.57	30
2.277	39.58	13
2.057	44.01	41
1.979	45.85	32
1.848	49.31	12
1.624	56.68	13
1.526	60.70	9

Structure:
abc: 9.5723 10.3618 6.7690
angles: 90.00 134.96 90.00
Fractional positions:
1 Na 0.0000 0.0000 0.0000
2 Na 0.0000 0.2489 0.5000
3 Na 0.5000 0.5000 0.0000
4 Na 0.5000 0.7489 0.5000
5 Cd 0.0000 0.7500 0.5000
6 Cd 0.5000 0.2500 0.5000
7 Mo 0.0000 0.4996 0.0000
8 Mo 0.5000 0.9996 0.0000
9 Se 0.2058 0.6189 0.9761
10 Se 0.2295 0.3804 0.4358
11 Se 0.2705 0.8804 0.5642
12 Se 0.2942 0.1189 0.0239
13 Se 0.7058 0.1189 0.9761
14 Se 0.7295 0.8804 0.4358
15 Se 0.7705 0.3804 0.5642
16 Se 0.7942 0.6189 0.0239


Diffraction record for Cu13Te2. The X-ray powder pattern is calculated, not measured: it uses a structure optimized by DFT (GGA-PBE) and CuKα.

Peak list (10 most intense, 5° ≤ 2θ ≤ 70°, low angle first)
d [Å]	2θ (°)	intensity
14.512	6.09	100
2.229	40.46	15
2.148	42.07	10
2.114	42.77	38
2.096	43.16	49
2.038	44.46	11
2.006	45.21	11
1.830	49.83	13
1.825	49.98	17
1.815	50.28	10

Structure:
abc: 5.7207 3.6499 29.0242
angles: 90.00 90.31 90.00
Fractional positions:
1 Cu 0.0401 0.2500 0.3342
2 Cu 0.0510 0.2500 0.5293
3 Cu 0.0624 0.2500 0.7305
4 Cu 0.1458 0.7500 0.3932
5 Cu 0.1547 0.7500 0.5877
6 Cu 0.2403 0.2500 0.2575
7 Cu 0.2478 0.2500 0.4516
8 Cu 0.2530 0.2500 0.6474
9 Cu 0.3388 0.7500 0.3150
10 Cu 0.3513 0.7500 0.5098
11 Cu 0.3552 0.7500 0.7058
12 Cu 0.4440 0.2500 0.3731
13 Cu 0.4521 0.2500 0.5686
14 Cu 0.5479 0.7500 0.4314
15 Cu 0.5560 0.7500 0.6269
16 Cu 0.6448 0.2500 0.2942
17 Cu 0.6487 0.2500 0.4902
18 Cu 0.6612 0.2500 0.6850
19 Cu 0.7470 0.7500 0.3526
20 Cu 0.7522 0.7500 0.5484
21 Cu 0.7597 0.7500 0.7425
22 Cu 0.8453 0.2500 0.4123
23 Cu 0.8542 0.2500 0.6068
24 Cu 0.9376 0.7500 0.2695
25 Cu 0.9490 0.7500 0.4707
26 Cu 0.9599 0.7500 0.6658
27 Te 0.0424 0.7500 0.8091
28 Te 0.4727 0.2500 0.7761
29 Te 0.5273 0.7500 0.2239
30 Te 0.9576 0.2500 0.1909


Diffraction record for Li4Ga3Au. The X-ray powder pattern is calculated, not measured: it uses a structure optimized by DFT (GGA-PBE) and CuKα.

Peak list (10 most intense, 5° ≤ 2θ ≤ 70°, low angle first)
d [Å]	2θ (°)	intensity
6.252	14.17	15
4.356	20.39	14
3.574	24.91	100
2.763	32.41	9
2.194	41.14	60
2.178	41.46	29
1.880	48.42	17
1.860	48.98	33
1.540	60.08	10
1.423	65.60	13

Structure:
abc: 4.3555 4.3555 6.2522
angles: 90.00 90.00 90.00
Fractional positions:
1 Li 0.0000 0.0000 0.0000
2 Li 0.0000 0.5000 0.7485
3 Li 0.5000 0.0000 0.2515
4 Li 0.5000 0.5000 0.5000
5 Ga 0.0000 0.5000 0.2499
6 Ga 0.5000 0.0000 0.7501
7 Ga 0.5000 0.5000 0.0000
8 Au 0.0000 0.0000 0.5000


Diffraction record for Cs2TaTlO4. The X-ray powder pattern is calculated, not measured: it uses a structure optimized by DFT (GGA-PBE) and CuKα.

Peak list (10 most intense, 5° ≤ 2θ ≤ 70°, low angle first)
d [Å]	2θ (°)	intensity
3.389	26.30	20
3.175	28.11	100
2.316	38.88	18
2.180	41.41	8
1.913	47.54	14
1.833	49.75	23
1.797	50.81	7
1.587	58.11	14
1.456	63.96	6
1.387	67.54	7

Structure:
abc: 6.3458 8.7212 6.7779
angles: 90.00 90.00 90.00
Fractional positions:
1 Cs 0.0000 0.2459 0.0000
2 Cs 0.0000 0.7541 0.0000
3 Cs 0.5000 0.2541 0.5000
4 Cs 0.5000 0.7459 0.5000
5 Ta 0.0000 0.5000 0.4386
6 Ta 0.5000 0.0000 0.9386
7 Tl 0.0000 0.0000 0.5177
8 Tl 0.5000 0.5000 0.0177
9 O 0.0000 0.3222 0.5900
10 O 0.0000 0.6778 0.5900
11 O 0.2406 0.5000 0.2782
12 O 0.2594 0.0000 0.7782
13 O 0.5000 0.1778 0.0900
14 O 0.5000 0.8222 0.0900
15 O 0.7406 0.0000 0.7782
16 O 0.7594 0.5000 0.2782